Record 1
This entry pairs a crystal structure of Pu2Sb3Pd4 with its computed powder X-ray diffraction pattern. Radiation: Cu Kα (weighted mean of Kα1 and Kα2). Structure: a DFT-relaxed cell (PBE, Alexandria).
Intensities are scaled so that the largest is 100.

Cell and atoms:
```
data_Pu2Sb3Pd4
_chemical_formula_sum 'Pu8 Sb12 Pd16'
_cell_length_a 6.3910
_cell_length_b 15.8575
_cell_length_c 7.5787
_cell_angle_alpha 90.00
_cell_angle_beta 90.00
_cell_angle_gamma 90.00
_space_group_name_H-M_alt 'C m c e'
_space_group_IT_number 64
_space_group_name_Hall '-C 2ac 2'
loop_
_atom_site_label
_atom_site_fract_x
_atom_site_fract_y
_atom_site_fract_z
Pu1 0.0000 0.0959 0.0958
Sb1 0.0000 0.0000 0.5000
Sb2 0.2500 0.2443 0.7500
Pd1 0.0000 0.1719 0.4944
Pd2 0.2500 0.0696 0.7500
```

The 12 most intense peaks (2θ = 10–80°), by angle:
hkl 2 0 0, 27.94°, 3.194 Å, I = 33
hkl 1 3 2, 32.27°, 2.774 Å, I = 49
hkl 2 2 1, 32.44°, 2.760 Å, I = 51
hkl 1 5 1, 33.69°, 2.660 Å, I = 100
hkl 2 4 0, 36.10°, 2.488 Å, I = 26
hkl 2 0 2, 36.79°, 2.443 Å, I = 89
hkl 0 2 3, 37.36°, 2.407 Å, I = 36
hkl 2 4 1, 38.07°, 2.364 Å, I = 21
hkl 0 6 2, 41.66°, 2.168 Å, I = 25
hkl 3 5 1, 53.19°, 1.722 Å, I = 28
hkl 4 0 0, 57.70°, 1.598 Å, I = 21
hkl 2 6 4, 67.52°, 1.387 Å, I = 37


Record 2
This entry pairs a crystal structure of Pu2SbPd with its computed powder X-ray diffraction pattern. Radiation: Cu Kα (weighted mean of Kα1 and Kα2). Structure: a DFT-relaxed cell (PBE, Alexandria).
Intensities are scaled so that the largest is 100.

Cell and atoms:
```
data_Pu2SbPd
_chemical_formula_sum 'Pu8 Sb4 Pd4'
_cell_length_a 5.9226
_cell_length_b 8.4969
_cell_length_c 7.3565
_cell_angle_alpha 90.00
_cell_angle_beta 90.00
_cell_angle_gamma 90.00
_space_group_name_H-M_alt 'I m m a'
_space_group_IT_number 74
_space_group_name_Hall '-I 2b 2'
loop_
_atom_site_label
_atom_site_fract_x
_atom_site_fract_y
_atom_site_fract_z
Pu1 0.2500 0.0379 0.2500
Sb1 0.0000 0.2500 0.5516
Pd1 0.0000 0.2500 0.9541
```

The 12 most intense peaks (2θ = 10–80°), by angle:
hkl 0 0 2, 24.20°, 3.678 Å, I = 21
hkl 0 2 2, 32.19°, 2.781 Å, I = 100
hkl 0 3 1, 33.92°, 2.643 Å, I = 34
hkl 2 1 1, 34.31°, 2.614 Å, I = 15
hkl 2 2 0, 37.00°, 2.429 Å, I = 79
hkl 2 0 2, 39.05°, 2.307 Å, I = 70
hkl 0 4 0, 42.56°, 2.124 Å, I = 16
hkl 2 3 3, 58.76°, 1.571 Å, I = 24
hkl 2 4 2, 59.13°, 1.563 Å, I = 29
hkl 2 2 4, 63.44°, 1.466 Å, I = 20
hkl 2 5 1, 64.48°, 1.445 Å, I = 20
hkl 4 2 2, 72.32°, 1.307 Å, I = 28


Record 3
This entry pairs a crystal structure of PuSb2Pd2 with its computed powder X-ray diffraction pattern. Radiation: Cu Kα (weighted mean of Kα1 and Kα2). Structure: a DFT-relaxed cell (PBE, Alexandria).
Intensities are scaled so that the largest is 100.

Cell and atoms:
```
data_PuSb2Pd2
_chemical_formula_sum 'Pu2 Sb4 Pd4'
_cell_length_a 4.7356
_cell_length_b 4.6330
_cell_length_c 10.3388
_cell_angle_alpha 90.00
_cell_angle_beta 90.95
_cell_angle_gamma 90.00
_space_group_name_H-M_alt 'P 1 21/m 1'
_space_group_IT_number 11
loop_
_space_group_symop_operation_xyz
'x,y,z'
'-x,-y,-z'
'-x,y+1/2,-z'
'x,-y+1/2,z'
loop_
_atom_site_label
_atom_site_fract_x
_atom_site_fract_y
_atom_site_fract_z
Pu1 0.2416 0.2500 0.2448
Sb1 0.2539 0.7500 0.4961
Sb2 0.2916 0.2500 0.8740
Pd1 0.1997 0.7500 0.9988
Pd2 0.2475 0.2500 0.6253
```

The 12 most intense peaks (2θ = 10–80°), by angle:
hkl 1 1 0, 26.92°, 3.311 Å, I = 28
hkl 1 1 -2, 31.92°, 2.804 Å, I = 100
hkl 1 1 2, 32.27°, 2.774 Å, I = 59
hkl 1 0 3, 32.38°, 2.765 Å, I = 84
hkl 2 0 0, 38.01°, 2.367 Å, I = 45
hkl 0 2 0, 38.88°, 2.316 Å, I = 49
hkl 0 1 5, 48.20°, 1.888 Å, I = 16
hkl 2 1 -3, 50.41°, 1.810 Å, I = 16
hkl 2 1 3, 51.12°, 1.787 Å, I = 22
hkl 1 2 3, 51.47°, 1.776 Å, I = 17
hkl 2 2 0, 55.50°, 1.656 Å, I = 30
hkl 1 3 2, 66.30°, 1.410 Å, I = 14


Record 4
This entry pairs a crystal structure of Pu2Sb2Pd with its computed powder X-ray diffraction pattern. Radiation: Cu Kα (weighted mean of Kα1 and Kα2). Structure: a DFT-relaxed cell (PBE, Alexandria).
Intensities are scaled so that the largest is 100.

Cell and atoms:
```
data_Pu2Sb2Pd
_chemical_formula_sum 'Pu8 Sb8 Pd4'
_cell_length_a 4.8690
_cell_length_b 16.5836
_cell_length_c 6.2061
_cell_angle_alpha 90.00
_cell_angle_beta 90.00
_cell_angle_gamma 90.00
_space_group_name_H-M_alt 'C m c 21'
_space_group_IT_number 36
loop_
_space_group_symop_operation_xyz
'x,y,z'
'-x,-y,z+1/2'
'-x,y,z'
'x,-y,z+1/2'
'x+1/2,y+1/2,z'
'-x+1/2,-y+1/2,z+1/2'
'-x+1/2,y+1/2,z'
'x+1/2,-y+1/2,z+1/2'
loop_
_atom_site_label
_atom_site_fract_x
_atom_site_fract_y
_atom_site_fract_z
Pu1 0.0000 0.0001 0.0000
Pu2 0.0000 0.2090 0.2455
Sb1 0.0000 0.1707 0.7463
Sb2 0.0000 0.4167 0.7506
Pd1 0.0000 0.4114 0.2540
```

The 12 most intense peaks (2θ = 10–80°), by angle:
hkl 1 1 0, 19.00°, 4.672 Å, I = 15
hkl 1 3 1, 28.35°, 3.149 Å, I = 15
hkl 0 0 2, 28.77°, 3.103 Å, I = 16
hkl 0 2 2, 30.77°, 2.906 Å, I = 33
hkl 1 5 0, 32.67°, 2.741 Å, I = 100
hkl 1 1 2, 34.71°, 2.585 Å, I = 31
hkl 2 0 0, 36.92°, 2.434 Å, I = 44
hkl 1 3 2, 38.05°, 2.365 Å, I = 63
hkl 2 2 2, 48.80°, 1.866 Å, I = 19
hkl 0 8 2, 53.14°, 1.724 Å, I = 16
hkl 3 5 0, 63.85°, 1.458 Å, I = 15
hkl 1 5 4, 69.63°, 1.350 Å, I = 23